Structure and theoretical X-ray powder pattern of Li2VCr3O8 (a structure optimized by DFT (PBE+U); Cu Kα).

The 10 most intense peaks (2θ = 10–90°), sorted by position:
- 4.693 Å, intensity 53
- 4.496 Å, intensity 100
- 3.460 Å, intensity 27
- 2.670 Å, intensity 35
- 2.500 Å, intensity 30
- 2.474 Å, intensity 34
- 2.250 Å, intensity 28
- 1.983 Å, intensity 39
- 1.514 Å, intensity 41
- 1.477 Å, intensity 26

Crystal structure
```
data_Li2VCr3O8
_chemical_formula_sum 'Li8 V4 Cr12 O32'
_space_group_name_H-M_alt 'C m c 21'
_space_group_IT_number 36
_cell_length_a 5.930
_cell_length_b 10.218
_cell_length_c 9.386
_cell_angle_alpha 90.00
_cell_angle_beta 90.00
_cell_angle_gamma 90.00
loop_
_space_group_symop_operation_xyz
'x,y,z'
'-x,-y,z+1/2'
'-x,y,z'
'x,-y,z+1/2'
'x+1/2,y+1/2,z'
'-x+1/2,-y+1/2,z+1/2'
'-x+1/2,y+1/2,z'
'x+1/2,-y+1/2,z+1/2'
loop_
_atom_site_label
_atom_site_fract_x
_atom_site_fract_y
_atom_site_fract_z
Li1 0.000 0.000 0.000
Li2 0.000 0.333 0.405
V1 0.000 0.333 0.001
Cr1 0.000 0.173 0.722
Cr2 0.242 0.414 0.722
O1 0.000 0.000 0.313
O2 0.000 0.174 0.098
O3 0.000 0.334 0.610
O4 0.000 0.477 0.852
O5 0.217 0.261 0.854
O6 0.238 0.413 0.098
```